1.
Diffraction record for MgScCr2AgH4O10. The XRD peak list is simulated, not measured: it uses a structure optimized by DFT (GGA+U) and Cu Kα (weighted mean of Kα1 and Kα2).
Kinematic intensities with the Lorentz-polarization factor, no thermal factor.

Largest 6 diffraction maxima, low angle first, 2θ = 10–90°:
| two_theta | I/Imax |
| --- | --- |
| 13.6 | 100 |
| 16.2 | 82 |
| 24.4 | 78 |
| 28.4 | 83 |
| 29.3 | 72 |
| 30.8 | 91 |

Structural model:
```
MgScCr2AgH4O10
1.0
5.798 0.000 0.000
-2.423 6.108 0.000
-0.679 -2.877 6.516
Mg Sc Cr Ag H O
1 1 2 1 4 10
Direct
0.000 0.000 0.000 Mg
0.735 0.694 0.523 Sc
0.079 0.468 0.235 Cr
0.398 0.936 0.836 Cr
0.545 0.544 0.989 Ag
0.498 0.202 0.323 H
0.534 0.243 0.566 H
0.936 0.136 0.458 H
0.977 0.197 0.704 H
0.058 0.774 0.730 O
0.098 0.336 0.983 O
0.362 0.031 0.084 O
0.382 0.661 0.385 O
0.495 0.168 0.773 O
0.562 0.324 0.470 O
0.619 0.800 0.823 O
0.851 0.586 0.254 O
0.906 0.065 0.566 O
0.972 0.205 0.273 O
```



2.
Diffraction record for MgV2In2O8. The XRD peak list is simulated, not measured: it uses a structure optimized by DFT (GGA+U) and Cu Kα (weighted mean of Kα1 and Kα2).
Kinematic intensities with the Lorentz-polarization factor, no thermal factor.

Largest 6 diffraction maxima, low angle first, 2θ = 10–90°:
| two_theta | I/Imax |
| --- | --- |
| 17.9 | 54 |
| 23.2 | 99 |
| 28.9 | 100 |
| 29.4 | 91 |
| 34.6 | 76 |
| 51.2 | 50 |

Structural model:
```
MgV2In2O8
1.0
4.956 0.000 0.000
0.000 6.024 0.000
-0.100 0.000 5.114
Mg V In O
1 2 2 8
Direct
0.000 0.000 0.000 Mg
0.500 0.041 0.000 V
0.500 0.732 0.500 V
0.000 0.248 0.500 In
0.000 0.543 0.000 In
0.228 0.252 0.856 O
0.249 0.533 0.357 O
0.270 0.800 0.814 O
0.286 0.003 0.299 O
0.714 0.003 0.701 O
0.730 0.800 0.186 O
0.751 0.533 0.643 O
0.772 0.252 0.144 O
```



3.
Diffraction record for La2Mo3O12. The XRD peak list is simulated, not measured: it uses a structure optimized by DFT (GGA+U) and Cu Kα (weighted mean of Kα1 and Kα2).
Kinematic intensities with the Lorentz-polarization factor, no thermal factor.

Largest 6 diffraction maxima, low angle first, 2θ = 10–90°:
| two_theta | I/Imax |
| --- | --- |
| 27.6 | 100 |
| 29.9 | 14 |
| 33.0 | 19 |
| 45.1 | 30 |
| 51.6 | 16 |
| 55.7 | 26 |

Structural model:
```
La2Mo3O12
1.0
3.836 -5.983 0.000
3.836 5.983 0.000
-3.832 0.000 11.537
La Mo O
4 6 24
Direct
0.045 0.293 0.090 La
0.293 0.045 0.590 La
0.707 0.955 0.410 La
0.955 0.707 0.910 La
0.126 0.874 0.250 Mo
0.211 0.461 0.422 Mo
0.461 0.211 0.922 Mo
0.539 0.789 0.078 Mo
0.789 0.539 0.578 Mo
0.874 0.126 0.750 Mo
0.031 0.427 0.289 O
0.084 0.673 0.119 O
0.113 0.196 0.456 O
0.125 0.201 0.716 O
0.196 0.113 0.956 O
0.201 0.125 0.216 O
0.224 0.664 0.537 O
0.327 0.916 0.381 O
0.336 0.776 0.963 O
0.427 0.031 0.789 O
0.433 0.530 0.107 O
0.470 0.567 0.393 O
0.530 0.433 0.607 O
0.567 0.470 0.893 O
0.573 0.969 0.211 O
0.664 0.224 0.037 O
0.673 0.084 0.619 O
0.776 0.336 0.463 O
0.799 0.875 0.784 O
0.804 0.887 0.044 O
0.875 0.799 0.284 O
0.887 0.804 0.544 O
0.916 0.327 0.881 O
0.969 0.573 0.711 O
```



4.
Diffraction record for V4OF11. The XRD peak list is simulated, not measured: it uses a structure optimized by DFT (GGA+U) and Cu Kα (weighted mean of Kα1 and Kα2).
Kinematic intensities with the Lorentz-polarization factor, no thermal factor.

Largest 6 diffraction maxima, low angle first, 2θ = 10–90°:
| two_theta | I/Imax |
| --- | --- |
| 23.4 | 100 |
| 23.7 | 50 |
| 39.5 | 15 |
| 47.9 | 21 |
| 48.5 | 9 |
| 53.0 | 13 |

Structural model:
```
V4OF11
1.0
5.234 0.000 0.000
2.566 4.799 0.000
2.487 -1.033 17.271
V O F
8 2 22
Direct
0.000 0.000 0.000 V
0.000 0.500 0.500 V
0.234 0.356 0.122 V
0.251 0.876 0.625 V
0.497 0.745 0.248 V
0.503 0.255 0.752 V
0.749 0.124 0.375 V
0.766 0.644 0.878 V
0.093 0.175 0.084 O
0.907 0.825 0.916 O
0.022 0.188 0.562 F
0.027 0.692 0.065 F
0.072 0.962 0.286 F
0.073 0.467 0.788 F
0.073 0.663 0.590 F
0.419 0.576 0.162 F
0.421 0.783 0.961 F
0.427 0.091 0.663 F
0.427 0.288 0.463 F
0.473 0.063 0.188 F
0.479 0.564 0.688 F
0.521 0.436 0.312 F
0.527 0.937 0.812 F
0.573 0.712 0.537 F
0.573 0.909 0.337 F
0.579 0.217 0.039 F
0.581 0.424 0.838 F
0.927 0.337 0.410 F
0.927 0.533 0.212 F
0.928 0.038 0.714 F
0.973 0.308 0.935 F
0.978 0.812 0.438 F
```



5.
Diffraction record for LiVF3. The XRD peak list is simulated, not measured: it uses a structure optimized by DFT (GGA+U) and Cu Kα (weighted mean of Kα1 and Kα2).
Kinematic intensities with the Lorentz-polarization factor, no thermal factor.

Largest 6 diffraction maxima, low angle first, 2θ = 10–90°:
| two_theta | I/Imax |
| --- | --- |
| 20.9 | 100 |
| 31.8 | 49 |
| 32.4 | 73 |
| 41.7 | 44 |
| 43.0 | 52 |
| 47.5 | 67 |

Structural model:
```
LiVF3
1.0
3.270 0.000 0.000
0.000 5.620 0.000
-1.630 0.000 6.500
Li V F
2 2 6
Direct
0.056 0.250 0.128 Li
0.944 0.750 0.872 Li
0.332 0.250 0.667 V
0.668 0.750 0.333 V
0.166 0.503 0.329 F
0.166 0.997 0.329 F
0.484 0.250 0.985 F
0.516 0.750 0.015 F
0.834 0.003 0.671 F
0.834 0.497 0.671 F
```



6.
Diffraction record for IrWO6. The XRD peak list is simulated, not measured: it uses a structure optimized by DFT (GGA+U) and Cu Kα (weighted mean of Kα1 and Kα2).
Kinematic intensities with the Lorentz-polarization factor, no thermal factor.

Largest 6 diffraction maxima, low angle first, 2θ = 10–90°:
| two_theta | I/Imax |
| --- | --- |
| 23.8 | 100 |
| 33.6 | 11 |
| 33.9 | 39 |
| 48.7 | 12 |
| 54.8 | 14 |
| 54.9 | 13 |

Structural model:
```
IrWO6
1.0
5.236 0.000 0.000
0.000 5.339 0.000
-5.233 0.000 7.499
Ir W O
2 2 12
Direct
0.000 0.000 0.000 Ir
0.000 0.500 0.500 Ir
0.500 0.000 0.500 W
0.500 0.500 0.000 W
0.166 0.209 0.462 O
0.166 0.291 0.962 O
0.255 0.707 0.462 O
0.255 0.793 0.962 O
0.325 0.011 0.249 O
0.325 0.489 0.749 O
0.675 0.511 0.251 O
0.675 0.989 0.751 O
0.745 0.207 0.038 O
0.745 0.293 0.538 O
0.834 0.709 0.038 O
0.834 0.791 0.538 O
```



7.
Diffraction record for Sc2MnNiO6. The XRD peak list is simulated, not measured: it uses a structure optimized by DFT (GGA+U) and Cu Kα (weighted mean of Kα1 and Kα2).
Kinematic intensities with the Lorentz-polarization factor, no thermal factor.

Largest 6 diffraction maxima, low angle first, 2θ = 10–90°:
| two_theta | I/Imax |
| --- | --- |
| 33.3 | 38 |
| 33.9 | 100 |
| 34.3 | 96 |
| 35.5 | 33 |
| 49.5 | 41 |
| 60.1 | 34 |

Structural model:
```
Sc2MnNiO6
1.0
5.053 0.000 0.000
0.000 5.388 0.000
-4.949 0.000 7.500
Sc Mn Ni O
4 2 2 12
Direct
0.218 0.073 0.246 Sc
0.218 0.427 0.746 Sc
0.782 0.573 0.254 Sc
0.782 0.927 0.754 Sc
0.500 0.000 0.000 Mn
0.500 0.500 0.500 Mn
0.000 0.000 0.500 Ni
0.000 0.500 0.000 Ni
0.129 0.184 0.934 O
0.129 0.316 0.434 O
0.245 0.702 0.922 O
0.245 0.798 0.422 O
0.402 0.062 0.761 O
0.402 0.438 0.261 O
0.598 0.562 0.739 O
0.598 0.938 0.239 O
0.755 0.202 0.578 O
0.755 0.298 0.078 O
0.871 0.684 0.566 O
0.871 0.816 0.066 O
```



8.
Diffraction record for Li2UWO7. The XRD peak list is simulated, not measured: it uses a structure optimized by DFT (GGA+U) and Cu Kα (weighted mean of Kα1 and Kα2).
Kinematic intensities with the Lorentz-polarization factor, no thermal factor.

Largest 6 diffraction maxima, low angle first, 2θ = 10–90°:
| two_theta | I/Imax |
| --- | --- |
| 12.4 | 61 |
| 15.1 | 100 |
| 21.2 | 95 |
| 26.9 | 56 |
| 29.6 | 99 |
| 30.4 | 64 |

Structural model:
```
Li2UWO7
1.0
3.731 -7.164 0.000
3.731 7.164 0.000
-0.028 0.000 10.308
Li U W O
8 4 4 28
Direct
0.037 0.464 0.186 Li
0.086 0.616 0.704 Li
0.108 0.892 0.500 Li
0.390 0.608 0.003 Li
0.464 0.037 0.686 Li
0.608 0.390 0.503 Li
0.616 0.086 0.204 Li
0.892 0.108 0.000 Li
0.216 0.282 0.733 U
0.282 0.216 0.233 U
0.742 0.757 0.765 U
0.757 0.742 0.265 U
0.150 0.852 0.975 W
0.350 0.645 0.470 W
0.645 0.350 0.970 W
0.852 0.150 0.475 W
0.015 0.046 0.371 O
0.030 0.903 0.137 O
0.046 0.015 0.871 O
0.106 0.401 0.818 O
0.114 0.384 0.537 O
0.172 0.323 0.130 O
0.203 0.693 0.060 O
0.232 0.635 0.322 O
0.256 0.854 0.821 O
0.287 0.795 0.563 O
0.323 0.172 0.630 O
0.384 0.114 0.037 O
0.401 0.106 0.318 O
0.450 0.483 0.373 O
0.467 0.593 0.639 O
0.483 0.450 0.873 O
0.593 0.467 0.139 O
0.630 0.868 0.430 O
0.635 0.232 0.822 O
0.637 0.859 0.874 O
0.654 0.854 0.159 O
0.693 0.203 0.560 O
0.795 0.287 0.063 O
0.854 0.256 0.321 O
0.854 0.654 0.659 O
0.859 0.637 0.374 O
0.868 0.630 0.930 O
0.903 0.030 0.637 O
```